Diffraction record for Cs2Dy3Te6. The powder XRD pattern is simulated, not measured: it uses a crystal structure in Alexandria, relaxed with PBE and Cu Kα (weighted mean of Kα1 and Kα2).
Lines closer than 0.1° are merged.

Structure:
```
data_Cs2Dy3Te6
_symmetry_space_group_name_H-M 'C 1 2/m 1'
_symmetry_Int_Tables_number 12
_symmetry_space_group_name_Hall '-C 2y'
_cell_length_a 7.5908
_cell_length_b 13.1490
_cell_length_c 9.6739
_cell_angle_alpha 90.00
_cell_angle_beta 105.19
_cell_angle_gamma 90.00
loop_
_atom_site_label
_atom_site_type_symbol
_atom_site_fract_x
_atom_site_fract_y
_atom_site_fract_z
Cs1 Cs 0.0000 0.1664 0.0000
Dy1 Dy 0.0000 0.0000 0.5000
Dy2 Dy 0.0000 0.3325 0.5000
Te1 Te 0.2278 0.5000 0.6902
Te2 Te 0.2316 0.1655 0.6909
```

Peak list (10 most intense, 10 to 80 degrees two-theta, sorted by position)
(hkl), 2θ/deg, I (rel.)
1 3 1, 26.72, 100.0
2 0 -3, 32.52, 19.2
2 0 2, 34.86, 33.8
0 6 0, 41.19, 35.7
3 3 -2, 42.37, 7.5
2 0 3, 42.77, 13.4
4 0 0, 49.78, 18.0
2 6 2, 55.04, 9.0
4 6 0, 66.53, 15.0
5 3 1, 71.01, 8.5